(1)
Diffraction record for CrFe6Cu. The powder XRD pattern is theoretical, not measured: it uses DFT lattice parameters and positions (PBE) and Cu Kα, 1.54184 Å.

The 4 most intense peaks (2θ from 15° to 90°), by angle:
2θ (°)	d/Å	I_rel	(hkl)
43.51	2.080	100.0	2 4 0
50.68	1.801	46.2	4 0 0
74.46	1.274	21.9	4 4 4
74.64	1.272	4.3	0 0 8

Cell and atoms:
```
data_CrFe6Cu
_chemical_formula_sum 'Cr8 Fe48 Cu8'
_cell_length_a 7.2119
_cell_length_b 10.1982
_cell_length_c 10.1730
_cell_angle_alpha 90.00
_cell_angle_beta 90.00
_cell_angle_gamma 90.00
_symmetry_space_group_name_H-M 'C m m m'
_symmetry_Int_Tables_number 65
_symmetry_space_group_name_Hall '-C 2 2'
loop_
_atom_site_label
_atom_site_fract_x
_atom_site_fract_y
_atom_site_fract_z
_atom_site_occupancy
Cr1 0.0000 0.0000 0.2486 1
Cr2 0.0000 0.2489 0.0000 1
Fe1 0.0000 0.0000 0.0000 1
Fe2 0.0000 0.0000 0.5000 1
Fe3 0.0000 0.2509 0.2494 1
Fe4 0.0000 0.5000 0.0000 1
Fe5 0.0000 0.5000 0.5000 1
Fe6 0.2495 0.1245 0.1241 1
Fe7 0.2488 0.3740 0.3743 1
Cu1 0.0000 0.2492 0.5000 1
Cu2 0.0000 0.5000 0.2496 1
```

---

(2)
Diffraction record for CrFe2Cu. The powder XRD pattern is theoretical, not measured: it uses DFT lattice parameters and positions (PBE) and Cu Kα, 1.54184 Å.

The 8 most intense peaks (2θ from 15° to 90°), by angle:
2θ (°)	d/Å	I_rel	(hkl)
44.31	2.044	100.0	0 1 2
45.00	2.014	93.1	1 1 -1
45.19	2.006	46.7	0 2 0
46.22	1.964	43.2	1 0 1
63.35	1.468	15.0	1 0 -3
66.63	1.404	26.0	1 2 1
81.18	1.185	13.8	1 2 -3
82.84	1.165	20.0	0 3 2

Cell and atoms:
```
data_CrFe2Cu
_chemical_formula_sum 'Cr1 Fe2 Cu1'
_cell_length_a 2.4287
_cell_length_b 4.0129
_cell_length_c 4.8603
_cell_angle_alpha 90.00
_cell_angle_beta 102.18
_cell_angle_gamma 90.00
_symmetry_space_group_name_H-M 'P 1 m 1'
_symmetry_Int_Tables_number 6
_symmetry_space_group_name_Hall 'P -2y'
loop_
_atom_site_label
_atom_site_fract_x
_atom_site_fract_y
_atom_site_fract_z
_atom_site_occupancy
Cr1 0.0000 0.0000 0.0000 1
Fe1 0.2229 0.5000 0.7616 1
Fe2 0.4568 0.0000 0.5073 1
Cu1 0.7113 0.5000 0.2620 1
```

---

(3)
Diffraction record for Cr8Fe2CuNiS16. The powder XRD pattern is theoretical, not measured: it uses DFT lattice parameters and positions (PBE) and Cu Kα, 1.54184 Å.

The 8 most intense peaks (2θ from 15° to 90°), by angle:
2θ (°)	d/Å	I_rel	(hkl)
25.59	3.481	34.5	1 1 0
30.10	2.969	100.0	2 0 2
36.51	2.461	47.7	2 0 8
45.11	2.010	13.2	3 0 0
48.02	1.895	43.6	3 0 6
52.58	1.740	88.6	2 2 0
73.95	1.282	16.2	1 4 6
77.57	1.231	12.6	4 0 16

Cell and atoms:
```
data_Cr8Fe2CuNiS16
_chemical_formula_sum 'Cr24 Fe6 Cu3 Ni3 S48'
_cell_length_a 6.9611
_cell_length_b 6.9611
_cell_length_c 34.1122
_cell_angle_alpha 90.00
_cell_angle_beta 90.00
_cell_angle_gamma 120.00
_symmetry_space_group_name_H-M 'R 3 m'
_symmetry_Int_Tables_number 160
_symmetry_space_group_name_Hall 'R 3 -2"'
loop_
_atom_site_label
_atom_site_fract_x
_atom_site_fract_y
_atom_site_fract_z
_atom_site_occupancy
Cr1 0.0000 0.0000 0.0000 1
Cr2 0.0000 0.0000 0.4993 1
Cr3 0.0028 0.5014 0.7483 1
Cr4 0.0035 0.5017 0.2492 1
Fe1 0.0000 0.0000 0.3112 1
Fe2 0.0000 0.0000 0.8117 1
Cu1 0.0000 0.0000 0.1864 1
Ni1 0.0000 0.0000 0.6866 1
S1 0.0000 0.0000 0.1194 1
S2 0.0000 0.0000 0.3773 1
S3 0.0000 0.0000 0.6213 1
S4 0.0000 0.0000 0.8779 1
S5 0.0191 0.5095 0.1225 1
S6 0.0200 0.5100 0.6231 1
S7 0.1745 0.3491 0.7081 1
S8 0.1781 0.3562 0.2089 1
```